Diffraction record for Pr2Bi6Pd. The PXRD pattern is simulated, not measured: it uses a crystal structure in Alexandria, relaxed with PBE and a wavelength of 1.5418 Å.
Lines closer than 0.1° are merged.

Principal peaks in the range 2θ from 5° to 70°, in order of falling intensity:
2θ 30.14, d 2.965, I = 100
2θ 28.86, d 3.093, I = 99
2θ 31.46, d 2.843, I = 96
2θ 31.06, d 2.879, I = 93
2θ 32.94, d 2.719, I = 86
2θ 42.53, d 2.126, I = 54
2θ 38.11, d 2.361, I = 53
2θ 29.29, d 3.049, I = 44
2θ 53.85, d 1.702, I = 44
2θ 36.26, d 2.478, I = 40

Crystal structure
a = 4.251 Å, b = 16.552 Å, c = 7.827 Å
α = 90.00°, β = 90.00°, γ = 90.00°
Space group Amm2 (No. 38)
Unique sites:
Pr: 0.000 0.164 0.000 [4 per cell]
Bi: 0.000 0.000 0.767 [2 per cell]
Bi: 0.000 0.118 0.435 [4 per cell]
Bi: 0.500 0.000 0.128 [2 per cell]
Bi: 0.500 0.223 0.700 [4 per cell]
Pd: 0.500 0.000 0.501 [2 per cell]